No. 1
The following is a simulated powder diffractogram of PrHo2ErSc2. It was derived from a PBE-relaxed structure, using copper Kα.

Most intense lines, 15 to 90 degrees two-theta, in order of rising 2θ:
3.890 Å, rel. 37, (1 2 0)
2.758 Å, rel. 100, (2 2 0)
2.747 Å, rel. 65, (0 3 1)
2.735 Å, rel. 32, (0 0 2)
1.588 Å, rel. 31, (0 6 0)
1.441 Å, rel. 27, (4 3 1)

Crystal structure
Cell: 6.7755 9.5289 5.4704 Å, 90.00 90.00 90.00°
Space group Pnnm (No. 58)
Asymmetric unit:
Pr (0.0000, 0.0000, 0.0000) [2 per cell]
Ho (0.2470, 0.3335, 0.0000) [4 per cell]
Er (0.0000, 0.5000, 0.5000) [2 per cell]
Sc (0.2502, 0.1669, 0.5000) [4 per cell]

=====

No. 2
The following is a simulated powder diffractogram of PrHo3Er2Se6. It was derived from a PBE-relaxed structure, using copper Kα.

Most intense lines, 15 to 90 degrees two-theta, in order of rising 2θ:
3.335 Å, rel. 22, (2 0 0)
2.889 Å, rel. 100, (2 0 -2)
2.045 Å, rel. 37, (1 3 -3)
2.040 Å, rel. 37, (2 0 2)
1.669 Å, rel. 13, (2 6 -2)
1.291 Å, rel. 16, (3 3 -5)

Crystal structure
Cell: 7.0573 12.2816 7.0766 Å, 90.00 109.42 90.00°
Space group C2/m (No. 12)
Asymmetric unit:
Pr (0.0000, 0.0000, 0.0000) [2 per cell]
Ho (0.0000, 0.1569, 0.5000) [4 per cell]
Ho (0.0000, 0.5000, 0.5000) [2 per cell]
Er (0.0000, 0.3350, 0.0000) [4 per cell]
Se (0.2366, 0.5000, 0.2499) [4 per cell]
Se (0.2410, 0.3260, 0.7428) [8 per cell]